1.
This entry pairs a crystal structure of MgPa with its calculated X-ray diffraction stick pattern. Radiation: Cu Kα, 1.54184 Å. Structure: a cell relaxed with PBE.

Structure:
```
data_MgPa
_chemical_formula_sum 'Mg1 Pa1'
_symmetry_space_group_name_H-M 'P 1'
_symmetry_Int_Tables_number 1
_cell_length_a 3.133
_cell_length_b 3.133
_cell_length_c 5.791
_cell_angle_alpha 90.00
_cell_angle_beta 90.00
_cell_angle_gamma 120.00
loop_
_symmetry_equiv_pos_as_xyz
'x,y,z'
loop_
_atom_site_label
_atom_site_type_symbol
_atom_site_fract_x
_atom_site_fract_y
_atom_site_fract_z
Mg1 Mg 0.000 0.000 0.000
Pa1 Pa 0.667 0.333 0.500
```

The 8 most intense peaks (10 to 90 degrees two-theta), low angle first:
2θ (°), d (Å), Rel. int.
15.30, 5.791, 93
30.88, 2.895, 29
33.01, 2.713, 52
36.57, 2.457, 100
45.83, 1.980, 43
58.70, 1.573, 26
61.30, 1.512, 16
68.04, 1.378, 19

2.
This entry pairs a crystal structure of YMg6Ag with its calculated X-ray diffraction stick pattern. Radiation: Cu Kα, 1.54184 Å. Structure: a cell relaxed with PBE.

Structure:
```
data_YMg6Ag
_chemical_formula_sum 'Y1 Mg6 Ag1'
_symmetry_space_group_name_H-M 'P 1'
_symmetry_Int_Tables_number 1
_cell_length_a 6.504
_cell_length_b 6.504
_cell_length_c 5.052
_cell_angle_alpha 90.00
_cell_angle_beta 90.00
_cell_angle_gamma 120.00
loop_
_symmetry_equiv_pos_as_xyz
'x,y,z'
loop_
_atom_site_label
_atom_site_type_symbol
_atom_site_fract_x
_atom_site_fract_y
_atom_site_fract_z
Y1 Y 0.000 0.000 0.000
Mg1 Mg 0.340 0.170 0.500
Mg2 Mg 0.501 0.002 0.000
Mg3 Mg 0.501 0.499 0.000
Mg4 Mg 0.830 0.170 0.500
Mg5 Mg 0.830 0.660 0.500
Mg6 Mg 0.998 0.499 0.000
Ag1 Ag 0.333 0.667 0.500
```

The 8 most intense peaks (10 to 90 degrees two-theta), low angle first:
2θ (°), d (Å), Rel. int.
15.73, 5.632, 24
23.66, 3.761, 58
27.43, 3.252, 26
31.77, 2.816, 25
35.54, 2.526, 24
36.53, 2.460, 100
48.43, 1.880, 20
56.59, 1.626, 22

3.
This entry pairs a crystal structure of Y3Si12Os4 with its calculated X-ray diffraction stick pattern. Radiation: Cu Kα, 1.54184 Å. Structure: a cell relaxed with PBE.

Structure:
```
data_Y3Si12Os4
_chemical_formula_sum 'Y6 Si24 Os8'
_symmetry_space_group_name_H-M 'P 1'
_symmetry_Int_Tables_number 1
_cell_length_a 10.140
_cell_length_b 10.140
_cell_length_c 8.162
_cell_angle_alpha 90.00
_cell_angle_beta 90.00
_cell_angle_gamma 47.45
loop_
_symmetry_equiv_pos_as_xyz
'x,y,z'
loop_
_atom_site_label
_atom_site_type_symbol
_atom_site_fract_x
_atom_site_fract_y
_atom_site_fract_z
Y1 Y 0.000 0.000 0.000
Y2 Y 0.002 0.498 0.250
Y3 Y 0.498 0.002 0.750
Y4 Y 0.500 0.500 0.500
Y5 Y 0.502 0.998 0.250
Y6 Y 0.998 0.502 0.750
Si1 Si 0.111 0.655 0.495
Si2 Si 0.113 0.121 0.728
Si3 Si 0.121 0.113 0.272
Si4 Si 0.155 0.611 0.995
Si5 Si 0.167 0.833 0.667
Si6 Si 0.205 0.205 0.500
Si7 Si 0.295 0.295 0.000
Si8 Si 0.333 0.667 0.167
Si9 Si 0.345 0.889 0.495
Si10 Si 0.379 0.387 0.772
Si11 Si 0.387 0.379 0.228
Si12 Si 0.389 0.845 0.995
Si13 Si 0.611 0.155 0.005
Si14 Si 0.613 0.621 0.772
Si15 Si 0.621 0.613 0.228
Si16 Si 0.655 0.111 0.505
Si17 Si 0.667 0.333 0.833
Si18 Si 0.705 0.705 0.000
Si19 Si 0.795 0.795 0.500
Si20 Si 0.833 0.167 0.333
Si21 Si 0.845 0.389 0.005
Si22 Si 0.879 0.887 0.728
Si23 Si 0.887 0.879 0.272
Si24 Si 0.889 0.345 0.505
Os1 Os 0.127 0.873 0.373
Os2 Os 0.169 0.169 0.000
Os3 Os 0.331 0.331 0.500
Os4 Os 0.373 0.627 0.873
Os5 Os 0.627 0.373 0.127
Os6 Os 0.669 0.669 0.500
Os7 Os 0.831 0.831 0.000
Os8 Os 0.873 0.127 0.627
```

The 8 most intense peaks (10 to 90 degrees two-theta), low angle first:
2θ (°), d (Å), Rel. int.
21.05, 4.221, 100
28.85, 3.094, 29
35.10, 2.556, 83
36.44, 2.466, 56
42.66, 2.119, 37
45.52, 1.993, 41
49.26, 1.850, 35
58.74, 1.572, 34

4.
This entry pairs a crystal structure of Ba2Si2GeAu with its calculated X-ray diffraction stick pattern. Radiation: Cu Kα, 1.54184 Å. Structure: a cell relaxed with PBE.

Structure:
```
data_Ba2Si2GeAu
_chemical_formula_sum 'Ba4 Si4 Ge2 Au2'
_symmetry_space_group_name_H-M 'P 1'
_symmetry_Int_Tables_number 1
_cell_length_a 9.033
_cell_length_b 8.670
_cell_length_c 6.632
_cell_angle_alpha 70.94
_cell_angle_beta 65.12
_cell_angle_gamma 43.94
loop_
_symmetry_equiv_pos_as_xyz
'x,y,z'
loop_
_atom_site_label
_atom_site_type_symbol
_atom_site_fract_x
_atom_site_fract_y
_atom_site_fract_z
Ba1 Ba 0.245 0.755 0.245
Ba2 Ba 0.250 0.250 0.250
Ba3 Ba 0.750 0.750 0.750
Ba4 Ba 0.755 0.245 0.755
Si1 Si 0.169 0.672 0.831
Si2 Si 0.328 0.831 0.672
Si3 Si 0.672 0.169 0.328
Si4 Si 0.831 0.328 0.169
Ge1 Ge 0.162 0.162 0.838
Ge2 Ge 0.838 0.838 0.162
Au1 Au 0.339 0.339 0.661
Au2 Au 0.661 0.661 0.339
```

The 8 most intense peaks (10 to 90 degrees two-theta), low angle first:
2θ (°), d (Å), Rel. int.
29.72, 3.006, 100
35.77, 2.510, 19
41.66, 2.168, 28
41.69, 2.167, 14
52.02, 1.758, 21
56.06, 1.640, 33
60.58, 1.529, 13
68.75, 1.365, 18

5.
This entry pairs a crystal structure of FeAuBrCl3 with its calculated X-ray diffraction stick pattern. Radiation: Cu Kα, 1.54184 Å. Structure: a cell relaxed with PBE.

Structure:
```
data_FeAuBrCl3
_chemical_formula_sum 'Fe1 Au1 Br1 Cl3'
_symmetry_space_group_name_H-M 'P 1'
_symmetry_Int_Tables_number 1
_cell_length_a 5.727
_cell_length_b 5.735
_cell_length_c 6.601
_cell_angle_alpha 113.64
_cell_angle_beta 115.16
_cell_angle_gamma 91.52
loop_
_symmetry_equiv_pos_as_xyz
'x,y,z'
loop_
_atom_site_label
_atom_site_type_symbol
_atom_site_fract_x
_atom_site_fract_y
_atom_site_fract_z
Fe1 Fe 0.000 0.000 0.000
Au1 Au 0.253 0.732 0.488
Br1 Br 0.393 0.340 0.242
Cl1 Cl 0.096 0.652 0.771
Cl2 Cl 0.671 0.125 0.768
Cl3 Cl 0.888 0.911 0.250
```

The 8 most intense peaks (10 to 90 degrees two-theta), low angle first:
2θ (°), d (Å), Rel. int.
17.38, 5.103, 30
17.59, 5.041, 100
17.78, 4.989, 74
27.15, 3.284, 41
27.71, 3.220, 89
28.15, 3.170, 43
29.64, 3.014, 35
45.39, 1.998, 28

6.
This entry pairs a crystal structure of NaHoTl2Br6 with its calculated X-ray diffraction stick pattern. Radiation: Cu Kα, 1.54184 Å. Structure: a cell relaxed with PBE.

Structure:
```
data_NaHoTl2Br6
_chemical_formula_sum 'Na1 Ho1 Tl2 Br6'
_symmetry_space_group_name_H-M 'P 1'
_symmetry_Int_Tables_number 1
_cell_length_a 7.902
_cell_length_b 7.902
_cell_length_c 7.902
_cell_angle_alpha 121.25
_cell_angle_beta 121.25
_cell_angle_gamma 87.85
loop_
_symmetry_equiv_pos_as_xyz
'x,y,z'
loop_
_atom_site_label
_atom_site_type_symbol
_atom_site_fract_x
_atom_site_fract_y
_atom_site_fract_z
Na1 Na 0.000 0.000 0.000
Ho1 Ho 0.500 0.500 0.000
Tl1 Tl 0.250 0.750 0.500
Tl2 Tl 0.750 0.250 0.500
Br1 Br 0.185 0.328 0.513
Br2 Br 0.257 0.257 0.000
Br3 Br 0.328 0.815 0.143
Br4 Br 0.672 0.185 0.857
Br5 Br 0.743 0.743 0.000
Br6 Br 0.815 0.672 0.487
```

The 8 most intense peaks (10 to 90 degrees two-theta), low angle first:
2θ (°), d (Å), Rel. int.
22.52, 3.948, 63
22.94, 3.876, 71
26.88, 3.317, 46
27.85, 3.204, 100
31.44, 2.846, 63
32.67, 2.741, 75
40.05, 2.252, 71
45.97, 1.974, 58